Entry 1:
Structure and calculated powder X-ray diffraction pattern of CeY4Tm10 (DFT lattice parameters and positions (PBE); λ = 1.5418 Å (Cu Kα)).

```
CeY4Tm10
1.0
-5.5227 5.5227 3.9264
5.5227 -5.5227 3.9264
5.5227 5.5227 -3.9264
Ce Y Tm
1 4 10
Direct
0.0000 0.0000 0.0000
0.2276 0.2276 0.4553
0.2276 0.7724 0.0000
0.7724 0.2276 0.0000
0.7724 0.7724 0.5447
0.0880 0.2947 0.7932
0.2500 0.7500 0.5000
0.2947 0.0880 0.7932
0.2947 0.5015 0.2068
0.4985 0.7053 0.7932
0.5015 0.2947 0.2068
0.7053 0.4985 0.7932
0.7053 0.9120 0.2068
0.7500 0.2500 0.5000
0.9120 0.7053 0.2068
```

Main lines, by angle (2θ from 10° to 80°):
2θ/deg, I/Imax
22.6, 20.3
25.5, 18.1
27.9, 20.9
31.3, 26.0
32.4, 100.0
34.4, 50.0
35.2, 19.5
41.6, 41.6
67.0, 15.6
69.0, 19.4

Entry 2:
Structure and calculated powder X-ray diffraction pattern of CeYTm6 (DFT lattice parameters and positions (PBE); λ = 1.5418 Å (Cu Kα)).

```
CeYTm6
1.0
6.4254 0.0000 0.0000
-0.0899 6.6796 0.0000
-1.5299 -3.2380 5.7744
Ce Y Tm
1 1 6
Direct
0.0000 0.0000 0.0000
0.5000 0.0000 0.0000
0.2289 0.9035 0.4747
0.2486 0.4510 0.9987
0.2662 0.4268 0.5184
0.7338 0.5732 0.4816
0.7514 0.5490 0.0013
0.7711 0.0965 0.5253
```

Main lines, by angle (2θ from 10° to 80°):
2θ/deg, I/Imax
28.8, 62.7
30.7, 55.9
31.0, 100.0
31.2, 42.1
32.1, 28.1
32.7, 33.9
34.5, 32.0
34.6, 18.8
35.8, 26.5
36.5, 22.8

Entry 3:
Structure and calculated powder X-ray diffraction pattern of Ce2YTm (DFT lattice parameters and positions (PBE); λ = 1.5418 Å (Cu Kα)).

```
Ce2YTm
1.0
3.4667 0.0000 0.0000
0.0000 3.4667 0.0000
0.0000 0.0000 10.0970
Ce Y Tm
2 1 1
Direct
0.0000 0.0000 0.2463
0.0000 0.0000 0.7537
0.5000 0.5000 0.5000
0.5000 0.5000 0.0000
```

Main lines, by angle (2θ from 10° to 80°):
2θ/deg, I/Imax
27.2, 2.4
31.3, 100.0
35.6, 17.7
36.7, 32.7
52.0, 23.8
52.8, 11.4
61.2, 14.4
62.7, 27.1
65.3, 11.9
78.0, 3.6

Entry 4:
Structure and calculated powder X-ray diffraction pattern of CeY4Tm7 (DFT lattice parameters and positions (PBE); λ = 1.5418 Å (Cu Kα)).

```
CeY4Tm7
1.0
9.3306 -3.4186 0.0000
9.3306 3.4186 0.0000
-0.0308 0.0000 5.9092
Ce Y Tm
1 4 7
Direct
0.0000 0.0000 0.0000
0.1323 0.5936 0.2539
0.4064 0.8677 0.7461
0.5936 0.1323 0.2539
0.8677 0.4064 0.7461
0.0000 0.0000 0.5000
0.1865 0.1865 0.2509
0.2863 0.2863 0.7558
0.4604 0.4604 0.7493
0.5396 0.5396 0.2507
0.7137 0.7137 0.2442
0.8135 0.8135 0.7491
```

Main lines, by angle (2θ from 10° to 80°):
2θ/deg, I/Imax
26.1, 41.8
30.2, 35.4
31.2, 26.6
31.7, 100.0
32.5, 90.9
32.6, 40.5
33.4, 35.6
36.2, 25.2
52.8, 22.0
64.1, 20.3

Entry 5:
Structure and calculated powder X-ray diffraction pattern of CeY3Tm4 (DFT lattice parameters and positions (PBE); λ = 1.5418 Å (Cu Kα)).

```
CeY3Tm4
1.0
11.6810 -1.7004 0.0000
11.6810 1.7004 0.0000
-1.8901 0.0000 6.3839
Ce Y Tm
1 3 4
Direct
0.0000 0.0000 0.0000
0.3732 0.3732 0.6294
0.5000 0.5000 0.5000
0.6268 0.6268 0.3706
0.2407 0.2407 0.2329
0.3749 0.3749 0.1162
0.6251 0.6251 0.8838
0.7593 0.7593 0.7671
```

Main lines, by angle (2θ from 10° to 80°):
2θ/deg, I/Imax
29.5, 29.6
31.3, 100.0
32.0, 45.1
33.1, 19.0
33.6, 48.6
38.0, 19.1
44.0, 17.3
56.5, 16.2
59.7, 14.6
63.7, 25.9

Entry 6:
Structure and calculated powder X-ray diffraction pattern of CeY4Tm8 (DFT lattice parameters and positions (PBE); λ = 1.5418 Å (Cu Kα)).

```
CeY4Tm8
1.0
5.5552 -2.4949 0.0000
5.5552 2.4949 0.0000
-1.0252 0.0000 14.4695
Ce Y Tm
1 4 8
Direct
0.0000 0.0000 0.0000
0.1538 0.1538 0.5396
0.3850 0.3850 0.8471
0.6150 0.6150 0.1529
0.8462 0.8462 0.4604
0.0757 0.0757 0.7688
0.2305 0.2305 0.3071
0.3087 0.3087 0.0766
0.4615 0.4615 0.6151
0.5385 0.5385 0.3849
0.6913 0.6913 0.9234
0.7695 0.7695 0.6929
0.9243 0.9243 0.2312
```

Main lines, by angle (2θ from 10° to 80°):
2θ/deg, I/Imax
31.1, 100.0
36.0, 33.8
36.2, 16.6
51.8, 11.9
52.0, 17.8
61.7, 21.3
61.8, 7.0
62.0, 13.9
64.8, 6.1
64.9, 6.1

Entry 7:
Structure and calculated powder X-ray diffraction pattern of CeY2Tm4 (DFT lattice parameters and positions (PBE); λ = 1.5418 Å (Cu Kα)).

```
CeY2Tm4
1.0
3.0781 -1.7779 0.0000
3.0781 1.7779 0.0000
-2.0573 0.0000 19.7804
Ce Y Tm
1 2 4
Direct
0.0000 0.0000 0.0000
0.0944 0.0944 0.2868
0.1898 0.1898 0.5732
0.2857 0.2857 0.8564
0.3810 0.3810 0.1436
0.8083 0.8083 0.4306
0.9048 0.9048 0.7168
```

Main lines, by angle (2θ from 10° to 80°):
2θ/deg, I/Imax
29.0, 24.4
29.2, 30.6
31.7, 57.7
32.8, 100.0
33.5, 98.6
51.4, 44.5
56.6, 19.9
58.1, 21.2
61.6, 51.3
62.8, 16.0

Entry 8:
Structure and calculated powder X-ray diffraction pattern of CeY2Tm12 (DFT lattice parameters and positions (PBE); λ = 1.5418 Å (Cu Kα)).

```
CeY2Tm12
1.0
3.4620 0.0000 0.0000
0.0006 5.4581 0.0000
1.6638 2.6673 24.2330
Ce Y Tm
1 2 12
Direct
0.0000 0.0000 0.0000
0.3661 0.8635 0.2744
0.6339 0.1365 0.7256
0.0922 0.5940 0.8078
0.1626 0.6651 0.6677
0.1954 0.1995 0.5974
0.2759 0.2725 0.4587
0.4366 0.9348 0.1340
0.4674 0.4680 0.0661
0.5326 0.5320 0.9339
0.5634 0.0652 0.8660
0.7241 0.7275 0.5413
0.8046 0.8005 0.4026
0.8374 0.3349 0.3323
0.9078 0.4060 0.1922
```

Main lines, by angle (2θ from 10° to 80°):
2θ/deg, I/Imax
31.5, 81.0
32.2, 100.0
32.8, 69.7
32.9, 18.6
38.0, 16.5
47.1, 21.3
57.8, 13.9
63.2, 14.4
63.4, 14.5
63.7, 14.9

Entry 9:
Structure and calculated powder X-ray diffraction pattern of CeY3Tm2 (DFT lattice parameters and positions (PBE); λ = 1.5418 Å (Cu Kα)).

```
CeY3Tm2
1.0
2.5049 -7.5045 0.0000
2.5049 7.5045 0.0000
0.0000 0.0000 5.0094
Ce Y Tm
1 3 2
Direct
0.0000 0.0000 0.0000
0.1648 0.8352 0.5000
0.5000 0.5000 0.5000
0.8352 0.1648 0.5000
0.3327 0.6673 0.0000
0.6673 0.3327 0.0000
```

Main lines, by angle (2θ from 10° to 80°):
2θ/deg, I/Imax
17.7, 6.6
25.2, 6.0
30.9, 100.0
35.9, 50.3
40.3, 3.7
44.3, 2.8
51.6, 35.3
61.4, 41.6
64.5, 12.0
76.0, 3.7

Entry 10:
Structure and calculated powder X-ray diffraction pattern of CeY4Tm3 (DFT lattice parameters and positions (PBE); λ = 1.5418 Å (Cu Kα)).

```
CeY4Tm3
1.0
11.2504 0.0000 0.0000
0.0000 7.2290 0.0000
0.0000 0.0000 6.2330
Ce Y Tm
2 8 6
Direct
0.0000 0.1215 0.0000
0.5000 0.8785 0.5000
0.0000 0.3708 0.4963
0.0000 0.6292 0.9945
0.2500 0.3716 0.8373
0.2500 0.6284 0.3373
0.5000 0.3708 0.4945
0.5000 0.6292 0.9963
0.7500 0.3716 0.8373
0.7500 0.6284 0.3373
0.0000 0.8781 0.5015
0.2498 0.1213 0.3294
0.2502 0.8787 0.8294
0.5000 0.1219 0.0015
0.7502 0.1213 0.3294
0.7498 0.8787 0.8294
```

Main lines, by angle (2θ from 10° to 80°):
2θ/deg, I/Imax
12.2, 9.5
28.6, 24.0
31.8, 24.1
32.8, 100.0
43.3, 17.2
50.7, 12.9
57.3, 20.1
60.9, 7.4
61.1, 14.7
61.6, 10.7

Entry 11:
Structure and calculated powder X-ray diffraction pattern of Ce2Tm3Zn3 (DFT lattice parameters and positions (PBE); λ = 1.5418 Å (Cu Kα)).

```
Ce2Tm3Zn3
1.0
-1.7304 2.5101 10.8769
1.7304 -2.5101 10.8769
1.7304 2.5101 -10.8769
Ce Tm Zn
2 3 3
Direct
0.2326 0.2326 0.0000
0.7674 0.7674 0.0000
0.0000 0.0000 0.0000
0.3841 0.8841 0.5000
0.6159 0.1159 0.5000
0.1132 0.6132 0.5000
0.5000 0.5000 0.0000
0.8868 0.3868 0.5000
```

Main lines, by angle (2θ from 10° to 80°):
2θ/deg, I/Imax
26.1, 8.7
27.1, 18.0
32.9, 23.7
35.6, 100.0
35.8, 26.8
49.4, 15.3
52.9, 9.7
60.5, 14.2
64.1, 17.7
65.5, 9.0

Entry 12:
Structure and calculated powder X-ray diffraction pattern of Ce3TmZn8 (DFT lattice parameters and positions (PBE); λ = 1.5418 Å (Cu Kα)).

```
Ce3TmZn8
1.0
5.5972 0.0000 0.0000
-2.7986 4.8473 0.0000
0.0000 0.0000 8.5597
Ce Tm Zn
3 1 8
Direct
0.0000 0.0000 0.0000
0.0000 0.0000 0.3395
0.3333 0.6667 0.8656
0.3333 0.6667 0.4864
0.0008 0.5004 0.1763
0.3257 0.1629 0.6693
0.4996 0.5004 0.1763
0.4996 0.9992 0.1763
0.6667 0.3333 0.4234
0.6667 0.3333 0.9203
0.8371 0.1629 0.6693
0.8371 0.6743 0.6693
```

Main lines, by angle (2θ from 10° to 80°):
2θ/deg, I/Imax
32.0, 65.5
36.5, 99.2
37.1, 17.0
38.4, 100.0
38.6, 79.1
57.0, 18.3
60.0, 44.6
61.3, 24.8
66.9, 54.4
78.7, 20.8